# 1
Structure and calculated powder XRD pattern of Cs3Rb5Na3 (DFT lattice parameters and positions (GGA-PBE); a wavelength of 1.5418 Å).

The 8 most intense peaks (15 to 90 degrees two-theta), in order of falling intensity:
two_theta  I_rel
19.6  100
21.4  51
31.1  40
22.3  36
17.8  34
26.8  26
39.2  22
37.6  19

Crystal structure
a b c (Å): 12.7017 12.7017 7.9808
angles (deg): 90.00 90.00 120.00
Atoms (fractional coordinates):
Cs1 0.0000 0.4710 0.0000
Cs2 0.4710 0.0000 0.0000
Cs3 0.5290 0.5290 0.0000
Rb1 0.0000 0.7572 0.5000
Rb2 0.2428 0.2428 0.5000
Rb3 0.3333 0.6667 0.5000
Rb4 0.6667 0.3333 0.5000
Rb5 0.7572 0.0000 0.5000
Na1 0.0000 0.3661 0.5000
Na2 0.3661 0.0000 0.5000
Na3 0.6339 0.6339 0.5000

# 2
Structure and calculated powder XRD pattern of Fe3Rh3S8 (DFT lattice parameters and positions (GGA-PBE); a wavelength of 1.5418 Å).

The 8 most intense peaks (15 to 90 degrees two-theta), in order of falling intensity:
two_theta  I_rel
36.8  100
30.1  75
52.5  71
30.3  71
53.7  66
30.8  40
16.1  37
15.6  30

Crystal structure
a b c (Å): 6.8332 6.8332 6.8332
angles (deg): 61.41 61.41 61.41
Atoms (fractional coordinates):
Fe1 0.0000 0.0000 0.0000
Fe2 0.3790 0.3790 0.3790
Fe3 0.6210 0.6210 0.6210
Rh1 0.0000 0.0000 0.5000
Rh2 0.0000 0.5000 0.0000
Rh3 0.5000 0.0000 0.0000
S1 0.2334 0.7572 0.7572
S2 0.2428 0.2428 0.7666
S3 0.2428 0.7666 0.2428
S4 0.2438 0.2438 0.2438
S5 0.7562 0.7562 0.7562
S6 0.7572 0.2334 0.7572
S7 0.7572 0.7572 0.2334
S8 0.7666 0.2428 0.2428

# 3
Structure and calculated powder XRD pattern of Ho3Zn8Au3 (DFT lattice parameters and positions (GGA-PBE); a wavelength of 1.5418 Å).

The 8 most intense peaks (15 to 90 degrees two-theta), in order of falling intensity:
two_theta  I_rel
35.2  100
42.2  27
29.3  21
41.2  19
38.7  15
68.6  14
72.6  14
45.0  13

Crystal structure
a b c (Å): 8.2948 8.2948 8.2948
angles (deg): 150.05 112.89 75.20
Atoms (fractional coordinates):
Ho1 0.0000 0.0000 0.0000
Ho2 0.3150 0.3150 0.0000
Ho3 0.6850 0.6850 0.0000
Zn1 0.0429 0.6784 0.3645
Zn2 0.1412 0.8669 0.2743
Zn3 0.3139 0.6784 0.6355
Zn4 0.4074 0.1331 0.2743
Zn5 0.5926 0.8669 0.7257
Zn6 0.6861 0.3216 0.3645
Zn7 0.8588 0.1331 0.7257
Zn8 0.9571 0.3216 0.6355
Au1 0.2678 0.5000 0.7678
Au2 0.5000 0.0000 0.5000
Au3 0.7322 0.5000 0.2322

# 4
Structure and calculated powder XRD pattern of Hf4TeSe (DFT lattice parameters and positions (GGA-PBE); a wavelength of 1.5418 Å).

The 8 most intense peaks (15 to 90 degrees two-theta), in order of falling intensity:
two_theta  I_rel
31.1  100
34.0  86
40.4  43
28.8  39
29.5  28
43.9  24
52.6  21
25.0  21

Crystal structure
a b c (Å): 7.5397 5.7372 7.0351
angles (deg): 90.00 109.34 90.00
Atoms (fractional coordinates):
Hf1 0.1694 0.2196 0.3286
Hf2 0.1694 0.2804 0.8286
Hf3 0.2594 0.6876 0.1216
Hf4 0.2594 0.8124 0.6216
Hf5 0.7406 0.1876 0.3784
Hf6 0.7406 0.3124 0.8784
Hf7 0.8306 0.7196 0.1714
Hf8 0.8306 0.7804 0.6714
Te1 0.5000 0.0000 0.0000
Te2 0.5000 0.5000 0.5000
Se1 0.0000 0.0000 0.0000
Se2 0.0000 0.5000 0.5000